1.
Diffraction record for ErAlTl. The powder diffraction line list is theoretical, not measured: it uses DFT lattice parameters and positions (GGA-PBE) and a wavelength of 1.5418 Å.

The 6 most intense peaks (2θ = 10–90°), low angle first:
| 2θ/deg | I/Imax |
| --- | --- |
| 12.6 | 20 |
| 33.9 | 100 |
| 38.4 | 17 |
| 39.0 | 18 |
| 40.8 | 16 |
| 67.5 | 14 |

Atomic structure:
```
12
Lattice="4.427 0.000 0.000 0.000 14.079 0.000 0.000 0.000 4.616" Properties=species:S:1:pos:R:3 pbc="T T T"
Er 0.000 2.238 0.000
Er 0.000 11.841 0.000
Er 2.213 4.801 0.000
Er 2.213 9.278 0.000
Al 0.000 4.373 2.308
Al 0.000 9.707 2.308
Al 2.213 2.667 2.308
Al 2.213 11.412 2.308
Tl 0.000 0.000 2.308
Tl 0.000 7.040 0.000
Tl 2.213 0.000 0.000
Tl 2.213 7.040 2.308
```

2.
Diffraction record for Er2Tm2Al3. The powder diffraction line list is theoretical, not measured: it uses DFT lattice parameters and positions (GGA-PBE) and a wavelength of 1.5418 Å.

The 6 most intense peaks (2θ = 10–90°), low angle first:
| 2θ/deg | I/Imax |
| --- | --- |
| 12.9 | 32 |
| 24.7 | 45 |
| 31.1 | 26 |
| 31.9 | 43 |
| 32.5 | 100 |
| 39.5 | 46 |

Atomic structure:
```
14
Lattice="15.277 0.000 0.000 0.000 3.373 0.000 -2.480 0.000 6.839" Properties=species:S:1:pos:R:3 pbc="T T T"
Er 0.521 0.000 1.631
Er 4.637 1.686 5.208
Er 8.160 1.686 1.631
Er 12.276 0.000 5.208
Tm 0.013 1.686 6.086
Tm 5.146 0.000 0.752
Tm 7.651 0.000 6.086
Tm 12.785 1.686 0.752
Al -1.240 1.686 3.419
Al 2.055 0.000 4.421
Al 3.104 1.686 2.417
Al 6.399 0.000 3.419
Al 9.694 1.686 4.421
Al 10.742 0.000 2.417
```

3.
Diffraction record for YEr4Al15. The powder diffraction line list is theoretical, not measured: it uses DFT lattice parameters and positions (GGA-PBE) and a wavelength of 1.5418 Å.

The 6 most intense peaks (2θ = 10–90°), low angle first:
| 2θ/deg | I/Imax |
| --- | --- |
| 19.6 | 100 |
| 24.3 | 58 |
| 29.4 | 83 |
| 35.6 | 65 |
| 38.5 | 61 |
| 39.7 | 59 |

Atomic structure:
```
20
Lattice="3.038 1.754 11.947 -3.038 1.754 11.947 0.000 -3.508 11.947" Properties=species:S:1:pos:R:3 pbc="T T T"
Y 0.000 0.000 0.000
Er 0.000 0.000 4.705
Er 0.000 0.000 14.334
Er 0.000 0.000 21.507
Er 0.000 0.000 31.136
Al -1.519 -0.877 11.947
Al 0.000 -1.583 9.563
Al -1.371 0.791 9.563
Al -1.533 -0.885 16.741
Al 0.000 -1.770 19.100
Al -1.533 0.885 19.100
Al -1.371 -0.791 26.278
Al -1.519 0.877 23.894
Al 0.000 1.754 11.947
Al 1.371 0.791 9.563
Al 1.533 -0.885 16.741
Al 0.000 1.770 16.741
Al 1.533 0.885 19.100
Al 1.371 -0.791 26.278
Al 0.000 1.583 26.278
```

4.
Diffraction record for K4Nb11Al2O20F. The powder diffraction line list is theoretical, not measured: it uses DFT lattice parameters and positions (GGA-PBE) and a wavelength of 1.5418 Å.

The 6 most intense peaks (2θ = 10–90°), low angle first:
| 2θ/deg | I/Imax |
| --- | --- |
| 12.2 | 46 |
| 14.2 | 81 |
| 31.0 | 100 |
| 31.2 | 40 |
| 43.5 | 74 |
| 62.7 | 46 |

Atomic structure:
```
38
Lattice="-4.413 4.413 6.340 4.413 -4.413 6.340 4.413 4.413 -6.340" Properties=species:S:1:pos:R:3 pbc="T T T"
K 2.730 0.000 0.000
K 6.096 0.000 0.000
K 0.000 2.730 0.000
K 0.000 6.096 0.000
Nb 2.985 2.985 -2.063
Nb 1.429 -1.429 4.277
Nb 0.000 0.000 2.323
Nb -1.429 1.429 4.277
Nb 1.429 1.429 4.277
Nb 0.000 0.000 6.340
Nb 2.985 2.985 2.063
Nb 1.429 -1.429 8.402
Nb 0.000 0.000 10.356
Nb -1.429 1.429 8.402
Nb 1.429 1.429 8.402
Al 4.413 0.000 3.170
Al 0.000 4.413 3.170
O 4.413 -1.411 2.090
O 2.952 2.952 -4.152
O 1.461 -1.461 2.188
O 4.413 1.411 2.090
O 2.907 2.907 0.000
O 1.506 -1.506 6.340
O 3.002 0.000 4.250
O 5.824 0.000 4.250
O -1.461 1.461 2.188
O 1.461 1.461 2.188
O 2.952 2.952 4.152
O 1.461 -1.461 10.491
O -1.411 4.413 2.090
O 1.411 4.413 2.090
O -1.506 1.506 6.340
O 1.506 1.506 6.340
O 0.000 3.002 4.250
O -1.461 1.461 10.491
O 1.461 1.461 10.491
O 0.000 5.824 4.250
F 0.000 0.000 0.000
```

5.
Diffraction record for NaAlOsO4F. The powder diffraction line list is theoretical, not measured: it uses DFT lattice parameters and positions (GGA-PBE) and a wavelength of 1.5418 Å.

The 6 most intense peaks (2θ = 10–90°), low angle first:
| 2θ/deg | I/Imax |
| --- | --- |
| 19.0 | 100 |
| 24.3 | 56 |
| 26.1 | 55 |
| 30.4 | 46 |
| 33.9 | 51 |
| 34.8 | 32 |

Atomic structure:
```
16
Lattice="3.173 -4.444 0.000 3.173 4.444 0.000 -2.632 0.000 6.458" Properties=species:S:1:pos:R:3 pbc="T T T"
Na 1.198 2.857 4.844
Na 2.514 -2.857 1.615
Al 3.173 0.000 0.000
Al 1.856 0.000 3.229
Os 2.514 2.927 1.615
Os 1.198 -2.927 4.844
O -1.283 0.427 6.130
O 1.509 1.683 2.570
O 0.033 -0.427 2.901
O 3.520 1.683 0.659
O 0.193 -1.683 5.799
O 3.680 0.427 3.557
O 2.204 -1.683 3.888
O 4.996 -0.427 0.328
F 1.198 0.637 4.844
F 2.514 -0.637 1.615
```

6.
Diffraction record for Al13Fe3. The powder diffraction line list is theoretical, not measured: it uses DFT lattice parameters and positions (GGA-PBE) and a wavelength of 1.5418 Å.

The 6 most intense peaks (2θ = 10–90°), low angle first:
| 2θ/deg | I/Imax |
| --- | --- |
| 22.0 | 22 |
| 24.2 | 11 |
| 43.0 | 12 |
| 43.2 | 100 |
| 62.7 | 10 |
| 79.2 | 14 |

Atomic structure:
```
32
Lattice="7.257 4.190 2.564 -7.257 4.190 2.564 0.000 -8.379 2.564" Properties=species:S:1:pos:R:3 pbc="T T T"
Al 0.000 0.000 0.000
Al -4.794 -4.620 4.012
Al -2.589 -3.823 2.685
Al -0.815 -2.133 1.486
Al -5.240 -0.036 3.967
Al -1.440 1.773 1.486
Al -2.463 -0.431 2.730
Al -3.657 -2.135 4.662
Al -3.599 2.055 3.380
Al 0.020 -4.145 3.380
Al 2.255 0.361 1.486
Al -2.016 4.154 2.685
Al 1.604 -1.917 2.730
Al 0.000 0.000 3.846
Al 0.858 2.348 2.730
Al 2.651 -4.520 3.967
Al -2.255 0.361 5.332
Al 4.605 -0.331 2.685
Al 0.815 -2.133 5.332
Al -1.604 6.462 4.012
Al 3.579 2.090 3.380
Al -0.020 4.234 4.662
Al 3.677 -2.100 4.662
Al 1.440 1.773 5.332
Al 2.589 4.556 3.967
Al 6.398 -1.842 4.012
Fe -5.969 2.021 2.742
Fe 1.234 -6.179 2.742
Fe -1.288 -2.169 4.024
Fe -1.234 2.200 4.024
Fe 2.522 -0.031 4.024
Fe 4.734 4.159 2.742
```

7.
Diffraction record for Al12Fe. The powder diffraction line list is theoretical, not measured: it uses DFT lattice parameters and positions (GGA-PBE) and a wavelength of 1.5418 Å.

The 6 most intense peaks (2θ = 10–90°), low angle first:
| 2θ/deg | I/Imax |
| --- | --- |
| 16.8 | 38 |
| 38.1 | 100 |
| 41.9 | 51 |
| 45.5 | 86 |
| 74.1 | 33 |
| 79.1 | 37 |

Atomic structure:
```
13
Lattice="-3.731 3.731 3.731 3.731 -3.731 3.731 3.731 3.731 -3.731" Properties=species:S:1:pos:R:3 pbc="T T T"
Al 3.731 -1.454 2.336
Al 2.277 1.395 0.000
Al 5.185 1.395 0.000
Al 2.336 3.731 -1.454
Al 1.395 0.000 2.277
Al 0.000 2.277 1.395
Al 3.731 1.454 2.336
Al 2.336 3.731 1.454
Al 1.395 0.000 5.185
Al -1.454 2.336 3.731
Al 1.454 2.336 3.731
Al 0.000 5.185 1.395
Fe 0.000 0.000 0.000
```